Record 1
The following is a simulated powder XRD pattern of Cs2SrNiP2. It was derived from a GGA-PBE-relaxed structure, using copper Kα.
Kinematic intensities with the Lorentz-polarization factor, no thermal factor.

Main lines, in order of rising 2θ (2θ from 10° to 80°):
- 20.6 deg, rel. 73.7
- 24.9 deg, rel. 22.4
- 28.2 deg, rel. 18.5
- 30.8 deg, rel. 44.0
- 31.5 deg, rel. 100.0
- 38.5 deg, rel. 38.1
- 44.1 deg, rel. 20.6
- 49.5 deg, rel. 20.6
- 50.1 deg, rel. 21.8
- 65.3 deg, rel. 25.0

Cell and atoms:
Lattice parameters (Å, degrees): 4.6777 4.6777 11.0957 90.00 90.00 90.00
Positions (direct):
1 Cs 0.0000 0.5000 0.2255
2 Cs 0.5000 0.0000 0.7745
3 Sr 0.5000 0.5000 0.5000
4 Ni 0.0000 0.0000 0.5000
5 P 0.0000 0.5000 0.6381
6 P 0.5000 0.0000 0.3619

Record 2
The following is a simulated powder XRD pattern of Cs2NiPt2S4. It was derived from a GGA-PBE-relaxed structure, using copper Kα.
Kinematic intensities with the Lorentz-polarization factor, no thermal factor.

Main lines, in order of rising 2θ (2θ from 10° to 80°):
- 12.3 deg, rel. 100.0
- 21.2 deg, rel. 77.6
- 24.6 deg, rel. 50.4
- 30.0 deg, rel. 36.4
- 30.3 deg, rel. 31.9
- 32.3 deg, rel. 58.3
- 34.7 deg, rel. 47.4
- 34.9 deg, rel. 30.4
- 37.2 deg, rel. 34.4
- 50.4 deg, rel. 43.6

Cell and atoms:
Lattice parameters (Å, degrees): 8.8495 7.8909 6.1260 77.16 60.39 42.45
Positions (direct):
1 Cs 0.1582 0.1582 0.8418
2 Cs 0.8418 0.8418 0.1582
3 Ni 0.5000 0.5000 0.5000
4 Pt 0.0000 0.0000 0.5000
5 Pt 0.5000 0.5000 0.0000
6 S 0.2360 0.5614 0.4386
7 S 0.4386 0.7640 0.2360
8 S 0.5614 0.2360 0.7640
9 S 0.7640 0.4386 0.5614

Please write out number 2 again, unchanged.
The following is a simulated powder XRD pattern of Cs2NiPt2S4. It was derived from a GGA-PBE-relaxed structure, using copper Kα.
Kinematic intensities with the Lorentz-polarization factor, no thermal factor.

Main lines, in order of rising 2θ (2θ from 10° to 80°):
- 12.3 deg, rel. 100.0
- 21.2 deg, rel. 77.6
- 24.6 deg, rel. 50.4
- 30.0 deg, rel. 36.4
- 30.3 deg, rel. 31.9
- 32.3 deg, rel. 58.3
- 34.7 deg, rel. 47.4
- 34.9 deg, rel. 30.4
- 37.2 deg, rel. 34.4
- 50.4 deg, rel. 43.6

Cell and atoms:
Lattice parameters (Å, degrees): 8.8495 7.8909 6.1260 77.16 60.39 42.45
Positions (direct):
1 Cs 0.1582 0.1582 0.8418
2 Cs 0.8418 0.8418 0.1582
3 Ni 0.5000 0.5000 0.5000
4 Pt 0.0000 0.0000 0.5000
5 Pt 0.5000 0.5000 0.0000
6 S 0.2360 0.5614 0.4386
7 S 0.4386 0.7640 0.2360
8 S 0.5614 0.2360 0.7640
9 S 0.7640 0.4386 0.5614

Q: Number 2 is which compound?
A: Cs2NiPt2S4